This entry pairs a crystal structure of GaPt2 with its simulated powder diffraction line list. Radiation: CuKα. Structure: a crystal structure in OQMD, relaxed with PBE.
Neutral-atom scattering factors, no anomalous dispersion.

Structural model:
```
data_GaPt2
_chemical_formula_sum 'Ga8 Pt16'
_symmetry_space_group_name_H-M 'P 1'
_symmetry_Int_Tables_number 1
_cell_length_a 16.676
_cell_length_b 3.961
_cell_length_c 5.567
_cell_angle_alpha 90.00
_cell_angle_beta 90.00
_cell_angle_gamma 90.00
loop_
_symmetry_equiv_pos_as_xyz
'x,y,z'
loop_
_atom_site_label
_atom_site_type_symbol
_atom_site_fract_x
_atom_site_fract_y
_atom_site_fract_z
Ga1 Ga 0.000 0.000 0.000
Ga2 Ga 0.093 0.500 0.314
Ga3 Ga 0.250 0.500 0.792
Ga4 Ga 0.407 0.500 0.314
Ga5 Ga 0.500 0.000 0.000
Ga6 Ga 0.593 0.500 0.686
Ga7 Ga 0.750 0.500 0.208
Ga8 Ga 0.907 0.500 0.686
Pt1 Pt 0.000 0.000 0.500
Pt2 Pt 0.069 0.500 0.794
Pt3 Pt 0.156 0.000 0.050
Pt4 Pt 0.168 0.000 0.556
Pt5 Pt 0.250 0.500 0.267
Pt6 Pt 0.332 0.000 0.556
Pt7 Pt 0.344 0.000 0.050
Pt8 Pt 0.431 0.500 0.794
Pt9 Pt 0.500 0.000 0.500
Pt10 Pt 0.569 0.500 0.206
Pt11 Pt 0.656 0.000 0.950
Pt12 Pt 0.668 0.000 0.444
Pt13 Pt 0.750 0.500 0.733
Pt14 Pt 0.832 0.000 0.444
Pt15 Pt 0.844 0.000 0.950
Pt16 Pt 0.931 0.500 0.206
```

Principal peaks in the range 15° ≤ 2θ ≤ 90°, most intense first:
h k l  2θ/deg  I/Imax
6 1 0  39.59  100.0
6 0 2  46.16  26.0
0 2 0  45.81  20.5
6 2 2  67.06  17.1
6 3 0  80.53  14.5
1 1 2  39.96  14.1
12 1 2  81.04  10.4
3 1 1  32.07  9.4
3 0 1  22.61  7.6
5 0 2  42.29  7.5